# 1
LaPm11: calculated powder X-ray diffraction pattern (a wavelength of 1.5418 Å), based on the GGA-PBE geometry in Alexandria.

Largest 10 diffraction maxima, low angle first, 10 to 90 degrees two-theta:
- 2θ = 29.31°, intensity 25
- 2θ = 30.66°, intensity 52
- 2θ = 30.87°, intensity 100
- 2θ = 34.43°, intensity 17
- 2θ = 36.76°, intensity 14
- 2θ = 44.07°, intensity 18
- 2θ = 54.77°, intensity 19
- 2θ = 54.91°, intensity 18
- 2θ = 60.79°, intensity 29
- 2θ = 78.19°, intensity 13

Structure:
Lattice parameters (Å, degrees): 11.586 11.586 3.584 90.00 90.00 120.00
Fractional positions:
La (0.000, 0.000, 0.000)
Pm (0.000, 0.500, 0.000)
Pm (0.175, 0.351, 0.500)
Pm (0.175, 0.825, 0.500)
Pm (0.333, 0.667, 0.000)
Pm (0.351, 0.175, 0.500)
Pm (0.500, 0.000, 0.000)
Pm (0.500, 0.500, 0.000)
Pm (0.649, 0.825, 0.500)
Pm (0.667, 0.333, 0.000)
Pm (0.825, 0.175, 0.500)
Pm (0.825, 0.649, 0.500)

# 2
La6Pm5: calculated powder X-ray diffraction pattern (a wavelength of 1.5418 Å), based on the GGA-PBE geometry in Alexandria.

Largest 10 diffraction maxima, low angle first, 10 to 90 degrees two-theta:
- 2θ = 28.47°, intensity 29
- 2θ = 29.88°, intensity 51
- 2θ = 30.68°, intensity 100
- 2θ = 31.83°, intensity 29
- 2θ = 32.00°, intensity 61
- 2θ = 32.77°, intensity 29
- 2θ = 45.07°, intensity 17
- 2θ = 51.15°, intensity 19
- 2θ = 55.50°, intensity 20
- 2θ = 60.31°, intensity 24

Structure:
Lattice parameters (Å, degrees): 8.693 8.693 6.308 107.72 107.72 104.84
Fractional positions:
La (0.047, 0.319, 0.592)
La (0.175, 0.175, 0.053)
La (0.319, 0.047, 0.592)
La (0.681, 0.953, 0.408)
La (0.825, 0.825, 0.947)
La (0.953, 0.681, 0.408)
Pm (0.236, 0.764, 0.000)
Pm (0.369, 0.631, 0.500)
Pm (0.500, 0.500, 0.000)
Pm (0.631, 0.369, 0.500)
Pm (0.764, 0.236, 0.000)

# 3
La8Pm2Pr: calculated powder X-ray diffraction pattern (a wavelength of 1.5418 Å), based on the GGA-PBE geometry in Alexandria.

Largest 10 diffraction maxima, low angle first, 10 to 90 degrees two-theta:
- 2θ = 30.22°, intensity 100
- 2θ = 30.71°, intensity 82
- 2θ = 31.93°, intensity 88
- 2θ = 41.38°, intensity 15
- 2θ = 45.74°, intensity 16
- 2θ = 45.83°, intensity 16
- 2θ = 53.19°, intensity 14
- 2θ = 55.58°, intensity 20
- 2θ = 55.82°, intensity 18
- 2θ = 61.40°, intensity 26

Structure:
Lattice parameters (Å, degrees): 8.730 8.730 5.609 90.08 90.08 105.75
Fractional positions:
La (0.166, 0.166, 0.000)
La (0.202, 0.468, 0.499)
La (0.244, 0.756, 0.000)
La (0.468, 0.202, 0.499)
La (0.532, 0.798, 0.501)
La (0.756, 0.244, 0.000)
La (0.798, 0.532, 0.501)
La (0.834, 0.834, 0.000)
Pm (0.118, 0.882, 0.500)
Pm (0.882, 0.118, 0.500)
Pr (0.500, 0.500, 0.000)